The following is a simulated X-ray powder pattern of LiAl2TlHg. It was derived from a cell relaxed with PBE, using CuKα.

Structure:
Cell lengths 5.053, 5.053, 6.064 Å; angles 90.00, 90.00, 90.00 degrees
Space group P4/mmm (No. 123)
Asymmetric unit:
Li  0.000  0.000  0.000 (multiplicity 1)
Al  0.000  0.500  0.500 (multiplicity 2)
Tl  0.500  0.500  0.000 (multiplicity 1)
Hg  0.500  0.500  0.500 (multiplicity 1)

Most intense lines, 10 to 80 degrees two-theta, by intensity:
2θ (°)	intensity	hkl
17.55	100	1 0 0
34.50	39	1 0 2
24.92	35	1 1 0
50.36	27	2 1 2
39.89	26	2 1 0
35.53	24	2 0 0
46.80	23	2 0 2
38.96	22	1 1 2
29.46	20	0 0 2
60.11	11	2 2 2

***

The following is a simulated X-ray powder pattern of Mg4AlHg. It was derived from a cell relaxed with PBE, using CuKα.

Structure:
Cell lengths 8.071, 3.361, 18.862 Å; angles 90.00, 90.00, 90.00 degrees
Space group Pnma (No. 62)
Asymmetric unit:
Mg  0.042  0.250  0.067 (multiplicity 4)
Mg  0.057  0.250  0.796 (multiplicity 4)
Mg  0.114  0.250  0.332 (multiplicity 4)
Mg  0.117  0.250  0.561 (multiplicity 4)
Al  0.249  0.750  0.443 (multiplicity 4)
Hg  0.242  0.750  0.689 (multiplicity 4)

Most intense lines, 10 to 80 degrees two-theta, by intensity:
2θ (°)	intensity	hkl
14.44	100	1 0 2
21.83	93	1 0 4
38.53	64	3 0 4
32.17	62	1 1 3
35.07	61	2 1 1
26.95	53	0 1 1
37.53	51	1 1 5
22.03	45	2 0 0
38.17	34	0 0 8
23.99	34	2 0 2